[1]
For Al12Tc5, a GGA-PBE-relaxed structure gives the theoretical XRD peak list in this record (λ = 1.5418 Å (Cu Kα)).
Peak positions follow from Bragg's law for the DFT cell and can differ from measured ones.

Crystal structure
```
Al12Tc5
1.0
3.729 2.153 5.284
-3.729 2.153 5.284
0.000 -4.306 5.284
Al Tc
12 5
direct
0.000 0.000 0.000
0.055 0.392 0.654
0.119 0.832 0.406
0.182 0.585 0.845
0.237 0.237 0.237
0.392 0.654 0.055
0.406 0.119 0.832
0.585 0.845 0.182
0.618 0.618 0.618
0.654 0.055 0.392
0.832 0.406 0.119
0.845 0.182 0.585
0.278 0.960 0.619
0.464 0.464 0.464
0.619 0.278 0.960
0.772 0.772 0.772
0.960 0.619 0.278
```

Peak list (10 most intense, 2θ = 10–90°, low angle first)
2θ = 14.81°, I = 11; 2θ = 23.86°, I = 17; 2θ = 29.31°, I = 52; 2θ = 33.93°, I = 10; 2θ = 41.94°, I = 100; 2θ = 52.01°, I = 11; 2θ = 55.02°, I = 15; 2θ = 60.80°, I = 11; 2θ = 68.95°, I = 10; 2θ = 76.64°, I = 17

***

[2]
For Th3AlW, a GGA-PBE-relaxed structure gives the theoretical XRD peak list in this record (λ = 1.5418 Å (Cu Kα)).
Peak positions follow from Bragg's law for the DFT cell and can differ from measured ones.

Crystal structure
```
Th3AlW
1.0
-3.734 3.734 5.606
3.734 -3.734 5.606
3.734 3.734 -5.606
Th Al W
6 2 2
direct
0.164 0.664 0.828
0.250 0.250 0.000
0.336 0.164 0.500
0.664 0.836 0.500
0.750 0.750 0.000
0.836 0.336 0.172
0.250 0.750 0.500
0.750 0.250 0.500
0.000 0.000 0.000
0.500 0.500 0.000
```

Peak list (10 most intense, 2θ = 10–90°, low angle first)
2θ = 15.81°, I = 58; 2θ = 16.79°, I = 48; 2θ = 27.87°, I = 100; 2θ = 28.72°, I = 32; 2θ = 31.93°, I = 60; 2θ = 33.95°, I = 37; 2θ = 36.06°, I = 52; 2θ = 38.10°, I = 72; 2θ = 47.29°, I = 30; 2θ = 50.53°, I = 65

***

[3]
For Tm5AlZn4, a GGA-PBE-relaxed structure gives the theoretical XRD peak list in this record (λ = 1.5418 Å (Cu Kα)).
Peak positions follow from Bragg's law for the DFT cell and can differ from measured ones.

Crystal structure
```
Tm5AlZn4
1.0
3.513 0.000 0.000
0.000 3.513 0.000
0.000 0.000 17.666
Tm Al Zn
5 1 4
direct
0.000 0.000 0.000
0.000 0.000 0.199
0.000 0.000 0.396
0.000 0.000 0.604
0.000 0.000 0.801
0.500 0.500 0.500
0.500 0.500 0.100
0.500 0.500 0.298
0.500 0.500 0.702
0.500 0.500 0.900
```

Peak list (10 most intense, 2θ = 10–90°, low angle first)
2θ = 25.21°, I = 13; 2θ = 25.35°, I = 26; 2θ = 36.05°, I = 100; 2θ = 36.16°, I = 50; 2θ = 44.59°, I = 12; 2θ = 52.07°, I = 17; 2θ = 64.75°, I = 18; 2θ = 64.96°, I = 35; 2θ = 76.47°, I = 11; 2θ = 87.85°, I = 16

***

[4]
For U3Al2, a GGA-PBE-relaxed structure gives the theoretical XRD peak list in this record (λ = 1.5418 Å (Cu Kα)).
Peak positions follow from Bragg's law for the DFT cell and can differ from measured ones.

Crystal structure
```
U3Al2
1.0
3.636 2.099 4.952
-3.636 2.099 4.952
0.000 -4.199 4.952
U Al
6 4
direct
0.045 0.250 0.455
0.250 0.455 0.045
0.455 0.045 0.250
0.545 0.955 0.750
0.750 0.545 0.955
0.955 0.750 0.545
0.082 0.082 0.082
0.418 0.418 0.418
0.582 0.582 0.582
0.918 0.918 0.918
```

Peak list (10 most intense, 2θ = 10–90°, low angle first)
2θ = 18.47°, I = 100; 2θ = 27.89°, I = 39; 2θ = 30.50°, I = 58; 2θ = 36.29°, I = 33; 2θ = 38.29°, I = 77; 2θ = 39.76°, I = 31; 2θ = 45.25°, I = 21; 2θ = 49.04°, I = 39; 2θ = 53.71°, I = 25; 2θ = 58.25°, I = 24

***

[5]
For Al6W7, a GGA-PBE-relaxed structure gives the theoretical XRD peak list in this record (λ = 1.5418 Å (Cu Kα)).
Peak positions follow from Bragg's law for the DFT cell and can differ from measured ones.

Crystal structure
```
Al6W7
1.0
2.504 1.446 9.128
-2.504 1.446 9.128
0.000 -2.892 9.128
Al W
6 7
direct
0.088 0.586 0.586
0.414 0.414 0.912
0.414 0.912 0.414
0.586 0.088 0.586
0.586 0.586 0.088
0.912 0.414 0.414
0.047 0.047 0.047
0.141 0.141 0.141
0.332 0.332 0.332
0.500 0.500 0.500
0.668 0.668 0.668
0.859 0.859 0.859
0.953 0.953 0.953
```

Peak list (10 most intense, 2θ = 10–90°, low angle first)
2θ = 19.45°, I = 27; 2θ = 26.21°, I = 22; 2θ = 35.86°, I = 100; 2θ = 38.89°, I = 25; 2θ = 41.11°, I = 51; 2θ = 41.83°, I = 64; 2θ = 56.25°, I = 18; 2θ = 64.44°, I = 19; 2θ = 68.54°, I = 28; 2θ = 76.00°, I = 16

***

[6]
For Al11W2, a GGA-PBE-relaxed structure gives the theoretical XRD peak list in this record (λ = 1.5418 Å (Cu Kα)).
Peak positions follow from Bragg's law for the DFT cell and can differ from measured ones.

Crystal structure
```
Al11W2
1.0
2.539 1.466 9.390
-2.539 1.466 9.390
0.000 -2.932 9.390
Al W
11 2
direct
0.000 0.000 0.000
0.087 0.087 0.584
0.087 0.584 0.087
0.166 0.166 0.166
0.349 0.349 0.349
0.416 0.913 0.913
0.584 0.087 0.087
0.651 0.651 0.651
0.834 0.834 0.834
0.913 0.416 0.913
0.913 0.913 0.416
0.454 0.454 0.454
0.546 0.546 0.546
```

Peak list (10 most intense, 2θ = 10–90°, low angle first)
2θ = 20.44°, I = 100; 2θ = 21.16°, I = 82; 2θ = 35.35°, I = 66; 2θ = 36.66°, I = 28; 2θ = 37.93°, I = 54; 2θ = 40.77°, I = 55; 2θ = 41.18°, I = 47; 2θ = 41.57°, I = 28; 2θ = 46.03°, I = 34; 2θ = 67.14°, I = 26

***

[7]
For Al2W3, a GGA-PBE-relaxed structure gives the theoretical XRD peak list in this record (λ = 1.5418 Å (Cu Kα)).
Peak positions follow from Bragg's law for the DFT cell and can differ from measured ones.

Crystal structure
```
Al2W3
1.0
9.552 0.000 0.000
0.000 9.552 0.000
0.000 0.000 5.163
Al W
12 18
direct
0.071 0.266 0.000
0.098 0.098 0.500
0.234 0.571 0.500
0.266 0.071 0.000
0.402 0.598 0.000
0.429 0.766 0.500
0.571 0.234 0.500
0.598 0.402 0.000
0.734 0.929 0.000
0.766 0.429 0.500
0.902 0.902 0.500
0.929 0.734 0.000
0.000 0.000 0.000
0.039 0.374 0.500
0.126 0.539 0.000
0.176 0.824 0.249
0.176 0.824 0.751
0.324 0.324 0.251
0.324 0.324 0.749
0.374 0.039 0.500
0.461 0.874 0.000
0.500 0.500 0.500
0.539 0.126 0.000
0.626 0.961 0.500
0.676 0.676 0.251
0.676 0.676 0.749
0.824 0.176 0.249
0.824 0.176 0.751
0.874 0.461 0.000
0.961 0.626 0.500
```

Peak list (10 most intense, 2θ = 10–90°, low angle first)
2θ = 20.80°, I = 96; 2θ = 27.09°, I = 70; 2θ = 38.88°, I = 96; 2θ = 39.69°, I = 93; 2θ = 40.05°, I = 87; 2θ = 40.84°, I = 76; 2θ = 42.78°, I = 100; 2θ = 46.26°, I = 45; 2θ = 63.65°, I = 38; 2θ = 67.78°, I = 69

***

[8]
For Al24W5, a GGA-PBE-relaxed structure gives the theoretical XRD peak list in this record (λ = 1.5418 Å (Cu Kα)).
Peak positions follow from Bragg's law for the DFT cell and can differ from measured ones.

Crystal structure
```
Al24W5
1.0
-4.816 4.816 4.816
4.816 -4.816 4.816
4.816 4.816 -4.816
Al W
24 5
direct
0.000 0.189 0.374
0.000 0.374 0.189
0.000 0.412 0.684
0.000 0.684 0.412
0.186 0.811 0.811
0.189 0.000 0.374
0.189 0.374 0.000
0.272 0.588 0.588
0.316 0.316 0.728
0.316 0.728 0.316
0.374 0.000 0.189
0.374 0.189 0.000
0.412 0.000 0.684
0.412 0.684 0.000
0.588 0.272 0.588
0.588 0.588 0.272
0.626 0.626 0.814
0.626 0.814 0.626
0.684 0.000 0.412
0.684 0.412 0.000
0.728 0.316 0.316
0.811 0.186 0.811
0.811 0.811 0.186
0.814 0.626 0.626
0.000 0.000 0.000
0.000 0.000 0.645
0.000 0.645 0.000
0.355 0.355 0.355
0.645 0.000 0.000
```

Peak list (10 most intense, 2θ = 10–90°, low angle first)
2θ = 13.00°, I = 43; 2θ = 22.61°, I = 50; 2θ = 26.17°, I = 16; 2θ = 34.85°, I = 30; 2θ = 39.70°, I = 100; 2θ = 46.17°, I = 16; 2θ = 57.40°, I = 11; 2θ = 59.13°, I = 16; 2θ = 68.94°, I = 11; 2θ = 72.06°, I = 26

***

[9]
For Al2W, a GGA-PBE-relaxed structure gives the theoretical XRD peak list in this record (λ = 1.5418 Å (Cu Kα)).
Peak positions follow from Bragg's law for the DFT cell and can differ from measured ones.

Crystal structure
```
Al2W
1.0
9.440 0.000 0.000
0.000 9.440 0.000
0.000 0.000 5.323
Al W
20 10
direct
0.041 0.363 0.000
0.068 0.267 0.500
0.095 0.095 0.000
0.137 0.541 0.500
0.233 0.568 0.000
0.267 0.068 0.500
0.363 0.041 0.000
0.405 0.595 0.500
0.432 0.767 0.000
0.459 0.863 0.500
0.541 0.137 0.500
0.568 0.233 0.000
0.595 0.405 0.500
0.637 0.959 0.000
0.733 0.932 0.500
0.767 0.432 0.000
0.863 0.459 0.500
0.905 0.905 0.000
0.932 0.733 0.500
0.959 0.637 0.000
0.000 0.000 0.500
0.180 0.820 0.248
0.180 0.820 0.752
0.320 0.320 0.252
0.320 0.320 0.748
0.500 0.500 0.000
0.680 0.680 0.252
0.680 0.680 0.748
0.820 0.180 0.248
0.820 0.180 0.752
```

Peak list (10 most intense, 2θ = 10–90°, low angle first)
2θ = 13.26°, I = 54; 2θ = 21.04°, I = 100; 2θ = 26.71°, I = 24; 2θ = 38.84°, I = 54; 2θ = 39.35°, I = 65; 2θ = 40.05°, I = 69; 2θ = 40.54°, I = 45; 2θ = 45.67°, I = 37; 2θ = 52.74°, I = 26; 2θ = 67.74°, I = 27

***

[10]
For Al14W, a GGA-PBE-relaxed structure gives the theoretical XRD peak list in this record (λ = 1.5418 Å (Cu Kα)).
Peak positions follow from Bragg's law for the DFT cell and can differ from measured ones.

Crystal structure
```
Al14W
1.0
9.730 0.000 0.000
0.000 9.730 0.000
0.000 0.000 5.225
Al W
28 2
direct
0.046 0.369 0.000
0.074 0.267 0.500
0.096 0.096 0.000
0.131 0.546 0.500
0.173 0.827 0.248
0.173 0.827 0.752
0.233 0.574 0.000
0.267 0.074 0.500
0.327 0.327 0.252
0.327 0.327 0.748
0.369 0.046 0.000
0.404 0.596 0.500
0.426 0.767 0.000
0.454 0.869 0.500
0.546 0.131 0.500
0.574 0.233 0.000
0.596 0.404 0.500
0.631 0.954 0.000
0.673 0.673 0.252
0.673 0.673 0.748
0.733 0.926 0.500
0.767 0.426 0.000
0.827 0.173 0.248
0.827 0.173 0.752
0.869 0.454 0.500
0.904 0.904 0.000
0.926 0.733 0.500
0.954 0.631 0.000
0.000 0.000 0.500
0.500 0.500 0.000
```

Peak list (10 most intense, 2θ = 10–90°, low angle first)
2θ = 12.87°, I = 100; 2θ = 18.24°, I = 46; 2θ = 19.28°, I = 86; 2θ = 26.66°, I = 66; 2θ = 29.02°, I = 28; 2θ = 37.51°, I = 29; 2θ = 39.14°, I = 44; 2θ = 39.29°, I = 33; 2θ = 42.01°, I = 95; 2θ = 45.55°, I = 45

***

[11]
For Al2W11, a GGA-PBE-relaxed structure gives the theoretical XRD peak list in this record (λ = 1.5418 Å (Cu Kα)).
Peak positions follow from Bragg's law for the DFT cell and can differ from measured ones.

Crystal structure
```
Al2W11
1.0
2.611 1.508 9.237
-2.611 1.508 9.237
0.000 -3.015 9.237
Al W
2 11
direct
0.167 0.167 0.167
0.833 0.833 0.833
0.000 0.000 0.000
0.089 0.089 0.586
0.089 0.586 0.089
0.347 0.347 0.347
0.414 0.911 0.911
0.453 0.453 0.453
0.547 0.547 0.547
0.586 0.089 0.089
0.653 0.653 0.653
0.911 0.414 0.911
0.911 0.911 0.414
```

Peak list (10 most intense, 2θ = 10–90°, low angle first)
2θ = 19.22°, I = 47; 2θ = 38.08°, I = 49; 2θ = 39.65°, I = 87; 2θ = 40.00°, I = 100; 2θ = 40.41°, I = 40; 2θ = 41.01°, I = 67; 2θ = 43.21°, I = 67; 2θ = 45.55°, I = 55; 2θ = 66.05°, I = 34; 2θ = 72.38°, I = 46